Simulated powder X-ray diffraction pattern
Compound: La2Sm12Dy
Radiation: a wavelength of 1.5418 Å
Structure: a DFT-relaxed cell (GGA-PBE, Alexandria)
Neutral-atom scattering factors, no anomalous dispersion.

Crystal structure
Cell: 7.216 11.567 25.071 Å, 90.00 90.00 90.00°
Space group Cmme (No. 67)
Unique sites:
La1 0.000 0.250 0.226
La2 0.000 0.250 0.766
Sm1 0.000 0.001 0.576
Sm2 0.000 0.024 0.060
Sm3 0.230 0.250 0.919
Sm4 0.249 0.250 0.374
Sm5 0.250 0.000 0.173
Sm6 0.250 0.000 0.301
Dy1 0.000 0.250 0.500

The 6 most intense peaks (2θ from 5° to 70°), by angle:
| hkl | 2θ/deg | I_rel |
| --- | --- | --- |
| 2 0 4 | 28.53 | 31 |
| 0 2 7 | 29.33 | 55 |
| 2 2 2 | 30.05 | 75 |
| 0 4 0 | 30.92 | 76 |
| 0 2 8 | 32.52 | 100 |
| 2 2 6 | 36.38 | 51 |

***

Simulated powder X-ray diffraction pattern
Compound: DyY4Tm15
Radiation: a wavelength of 1.5418 Å
Structure: a DFT-relaxed cell (GGA-PBE, Alexandria)
Neutral-atom scattering factors, no anomalous dispersion.

Crystal structure
Cell: 4.958 4.958 24.803 Å, 90.00 90.00 90.00°
Space group P4/mmm (No. 123)
Unique sites:
Dy1 0.000 0.000 0.000
Y1 0.000 0.000 0.200
Y2 0.000 0.000 0.400
Tm1 0.000 0.500 0.100
Tm2 0.000 0.500 0.300
Tm3 0.000 0.500 0.500
Tm4 0.500 0.500 0.000
Tm5 0.500 0.500 0.200
Tm6 0.500 0.500 0.400

The 6 most intense peaks (2θ from 5° to 70°), by angle:
| hkl | 2θ/deg | I_rel |
| --- | --- | --- |
| 1 1 5 | 31.24 | 100 |
| 2 0 0 | 36.23 | 51 |
| 2 2 0 | 52.17 | 36 |
| 1 1 15 | 62.06 | 14 |
| 3 1 5 | 62.09 | 28 |
| 2 2 10 | 65.17 | 12 |

***

Simulated powder X-ray diffraction pattern
Compound: SeNCl2
Radiation: a wavelength of 1.5418 Å
Structure: a DFT-relaxed cell (GGA-PBE, Alexandria)
Neutral-atom scattering factors, no anomalous dispersion.

Crystal structure
Cell: 15.315 3.826 8.526 Å, 90.00 91.22 90.00°
Space group C2/m (No. 12)
Unique sites:
Se1 0.071 0.000 0.481
N1 0.138 0.000 0.229
Cl1 0.112 0.500 0.142
Cl2 0.248 0.000 0.267

The 6 most intense peaks (2θ from 5° to 70°), by angle:
| hkl | 2θ/deg | I_rel |
| --- | --- | --- |
| 0 0 1 | 10.38 | 86 |
| 2 0 1 | 15.72 | 100 |
| 2 0 -2 | 23.68 | 52 |
| 1 1 1 | 26.23 | 94 |
| 1 1 2 | 32.06 | 39 |
| 5 1 -1 | 38.95 | 25 |

***

Simulated powder X-ray diffraction pattern
Compound: Cs2HfCuCl
Radiation: a wavelength of 1.5418 Å
Structure: a DFT-relaxed cell (GGA-PBE, Alexandria)
Neutral-atom scattering factors, no anomalous dispersion.

Crystal structure
Cell: 6.997 6.997 4.423 Å, 90.00 90.00 90.00°
Space group P4/mmm (No. 123)
Unique sites:
Cs1 0.000 0.500 0.000
Hf1 0.000 0.000 0.500
Cu1 0.500 0.500 0.500
Cl1 0.500 0.500 0.000

The 6 most intense peaks (2θ from 5° to 70°), by angle:
| hkl | 2θ/deg | I_rel |
| --- | --- | --- |
| 2 0 0 | 25.46 | 78 |
| 1 1 1 | 27.04 | 100 |
| 2 2 0 | 36.31 | 31 |
| 3 1 1 | 45.86 | 48 |
| 2 0 2 | 48.71 | 26 |
| 2 2 2 | 55.76 | 17 |

***

Simulated powder X-ray diffraction pattern
Compound: Tm3Ag2
Radiation: a wavelength of 1.5418 Å
Structure: a DFT-relaxed cell (GGA-PBE, Alexandria)
Neutral-atom scattering factors, no anomalous dispersion.

Crystal structure
Cell: 3.556 3.556 19.405 Å, 90.00 90.00 90.00°
Space group P4/mmm (No. 123)
Unique sites:
Tm1 0.000 0.000 0.000
Tm2 0.000 0.000 0.188
Tm3 0.000 0.000 0.375
Tm4 0.500 0.500 0.500
Ag1 0.500 0.500 0.093
Ag2 0.500 0.500 0.281

The 6 most intense peaks (2θ from 5° to 70°), by angle:
| hkl | 2θ/deg | I_rel |
| --- | --- | --- |
| 1 0 5 | 34.20 | 100 |
| 1 1 0 | 35.71 | 56 |
| 1 0 6 | 37.59 | 13 |
| 2 0 0 | 51.39 | 20 |
| 1 1 10 | 60.24 | 9 |
| 2 1 5 | 63.18 | 35 |

***

Simulated powder X-ray diffraction pattern
Compound: KLuP2O7
Radiation: a wavelength of 1.5418 Å
Structure: a DFT-relaxed cell (GGA-PBE, Alexandria)
Neutral-atom scattering factors, no anomalous dispersion.

Crystal structure
Cell: 7.697 10.854 8.652 Å, 90.00 107.19 90.00°
Space group P2_1/c (No. 14)
Unique sites:
K1 0.176 0.177 0.071
Lu1 0.235 0.599 0.253
P1 0.129 0.600 0.816
P2 0.440 0.638 0.692
O1 0.005 0.001 0.217
O2 0.073 0.728 0.741
O3 0.141 0.595 0.994
O4 0.330 0.613 0.516
O5 0.331 0.568 0.803
O6 0.373 0.077 0.761
O7 0.455 0.726 0.240

The 6 most intense peaks (2θ from 5° to 70°), by angle:
| hkl | 2θ/deg | I_rel |
| --- | --- | --- |
| 1 1 0 | 14.55 | 100 |
| 1 1 -1 | 15.83 | 77 |
| 0 0 2 | 21.50 | 80 |
| 1 3 0 | 27.48 | 70 |
| 2 2 -1 | 28.67 | 82 |
| 1 1 2 | 28.93 | 38 |